Entry 1:
The following is a simulated X-ray powder pattern of AcCuNi4. It was derived from a GGA-PBE-relaxed structure, using Cu Kα (λ = 1.5418 Å).
Lines closer than 0.1° are merged.

Main lines, by intensity (15° ≤ 2θ ≤ 90°):
42.0°, rel. 100.0
35.6°, rel. 53.9
68.3°, rel. 31.0
21.6°, rel. 23.0
44.0°, rel. 21.3
75.4°, rel. 20.5
63.9°, rel. 19.7
25.0°, rel. 19.0
86.2°, rel. 8.8
57.8°, rel. 7.4

Atomic structure:
```
6
Lattice="0.0000 3.5663 3.5663 3.5663 0.0000 3.5663 3.5663 3.5663 0.0000" Properties=species:S:1:pos:R:3 pbc="T T T"
Ac 0.0000 0.0000 0.0000
Cu 5.3495 5.3495 5.3495
Ni 2.6864 2.6864 2.6864
Ni 4.4462 4.4462 2.6864
Ni 4.4462 2.6864 4.4462
Ni 2.6864 4.4462 4.4462
```

=====

Entry 2:
The following is a simulated X-ray powder pattern of ErTmCuAg. It was derived from a GGA-PBE-relaxed structure, using Cu Kα (λ = 1.5418 Å).
Lines closer than 0.1° are merged.

Main lines, by intensity (15° ≤ 2θ ≤ 90°):
36.0°, rel. 100.0
36.4°, rel. 49.7
65.3°, rel. 34.4
52.4°, rel. 17.2
64.6°, rel. 16.7
25.5°, rel. 10.5
76.5°, rel. 10.2
51.4°, rel. 8.4
88.6°, rel. 7.9
88.4°, rel. 7.7

Atomic structure:
```
4
Lattice="3.4906 0.0000 0.0000 0.0000 3.4906 0.0000 0.0000 0.0000 7.1144" Properties=species:S:1:pos:R:3 pbc="T T T"
Er 0.0000 0.0000 0.0000
Tm 0.0000 0.0000 3.7548
Cu 1.7453 1.7453 5.4146
Ag 1.7453 1.7453 1.8960
```

=====

Entry 3:
The following is a simulated X-ray powder pattern of VPt4. It was derived from a GGA-PBE-relaxed structure, using Cu Kα (λ = 1.5418 Å).
Lines closer than 0.1° are merged.

Main lines, by intensity (15° ≤ 2θ ≤ 90°):
37.5°, rel. 100.0
41.0°, rel. 91.5
40.4°, rel. 85.7
37.3°, rel. 74.3
36.6°, rel. 72.1
56.7°, rel. 41.9
50.4°, rel. 37.6
76.4°, rel. 35.6
64.9°, rel. 26.7
84.2°, rel. 21.4

Atomic structure:
```
10
Lattice="5.3681 0.0000 0.0000 0.0000 5.3681 0.0000 0.0000 0.0000 5.5138" Properties=species:S:1:pos:R:3 pbc="T T T"
V 0.0000 0.0000 0.0000
V 2.6841 2.6841 2.7569
Pt 0.5475 1.4771 1.9655
Pt 1.2070 2.1365 4.7224
Pt 1.4771 4.8206 3.5483
Pt 2.1365 4.1611 0.7914
Pt 3.2316 1.2070 0.7914
Pt 3.8911 0.5475 3.5483
Pt 4.1611 3.2316 4.7224
Pt 4.8206 3.8911 1.9655
```

=====

Entry 4:
The following is a simulated X-ray powder pattern of Pu2UIr. It was derived from a GGA-PBE-relaxed structure, using Cu Kα (λ = 1.5418 Å).
Lines closer than 0.1° are merged.

Main lines, by intensity (15° ≤ 2θ ≤ 90°):
37.2°, rel. 100.0
37.7°, rel. 26.2
37.9°, rel. 25.8
54.6°, rel. 18.5
67.7°, rel. 18.0
68.0°, rel. 17.9
79.2°, rel. 9.2
66.5°, rel. 7.4
52.6°, rel. 7.3
66.6°, rel. 7.3

Atomic structure:
```
8
Lattice="4.7452 0.0000 0.0000 0.0000 4.7691 0.0000 0.0000 0.0000 6.9658" Properties=species:S:1:pos:R:3 pbc="T T T"
Pu 1.1863 1.1923 0.0007
Pu 1.1863 1.1923 3.4783
Pu 3.5589 3.5768 6.9652
Pu 3.5589 3.5768 3.4875
U 1.1863 3.5768 5.5422
U 3.5589 1.1923 1.4236
Ir 1.1863 3.5768 1.8021
Ir 3.5589 1.1923 5.1638
```